Ho3Tm2Th3: simulated X-ray powder pattern (Cu Kα), based on DFT lattice parameters and positions (PBE).
Intensities are scaled so that the largest is 100.

Largest 10 diffraction maxima, in order of falling intensity, 2θ from 15° to 90°:
d/Å	I/Imax
2.890	100
2.507	34
1.511	29
1.769	24
2.496	17
1.506	14
1.445	13
1.148	12
1.772	12
1.121	9

Structure:
Lattice parameters (Å, degrees): 10.6368 10.6368 10.6368 152.86 152.75 38.84
Fractional positions:
Ho (0.0000, 0.0000, 0.0000)
Ho (0.1255, 0.6255, 0.5000)
Ho (0.8745, 0.3745, 0.5000)
Tm (0.2501, 0.2501, 0.0000)
Tm (0.7499, 0.7499, 0.0000)
Th (0.3752, 0.8752, 0.5000)
Th (0.5000, 0.5000, 0.0000)
Th (0.6248, 0.1248, 0.5000)